[1]
CaNiGe2Pt: calculated XRD peak list (copper Kα), based on the GGA-PBE geometry in Alexandria.
Neutral-atom scattering factors, no anomalous dispersion.

Cell and atoms:
```
CaNiGe2Pt
1.0
-2.109 2.109 5.110
2.109 -2.109 5.110
2.109 2.109 -5.110
Ca Ni Ge Pt
1 1 2 1
Direct
0.000 0.000 0.000
0.250 0.750 0.500
0.374 0.374 0.000
0.626 0.626 0.000
0.750 0.250 0.500
```

Peak list (10 most intense, 2θ = 15–90°, in order of rising 2θ)
2θ 17.35, rel. 72; 2θ 22.81, rel. 64; 2θ 33.82, rel. 47; 2θ 34.83, rel. 100; 2θ 42.88, rel. 64; 2θ 46.59, rel. 24; 2θ 46.82, rel. 66; 2θ 55.70, rel. 23; 2θ 73.35, rel. 22; 2θ 81.38, rel. 26

[2]
Ca2Ni3Ge4Ru: calculated XRD peak list (copper Kα), based on the GGA-PBE geometry in Alexandria.
Neutral-atom scattering factors, no anomalous dispersion.

Cell and atoms:
```
Ca2Ni3Ge4Ru
1.0
4.086 0.000 0.000
0.000 4.086 0.000
0.000 0.000 10.119
Ca Ni Ge Ru
2 3 4 1
Direct
0.000 0.500 0.244
0.500 0.000 0.756
0.000 0.500 0.872
0.500 0.000 0.128
0.500 0.500 0.500
0.000 0.000 0.000
0.000 0.500 0.633
0.500 0.000 0.367
0.500 0.500 0.000
0.000 0.000 0.500
```

Peak list (10 most intense, 2θ = 15–90°, in order of rising 2θ)
2θ 17.53, rel. 38; 2θ 23.48, rel. 26; 2θ 34.48, rel. 43; 2θ 35.79, rel. 100; 2θ 44.34, rel. 70; 2θ 47.79, rel. 64; 2θ 50.31, rel. 20; 2θ 64.51, rel. 22; 2θ 76.02, rel. 20; 2θ 84.13, rel. 24

[3]
Ca3GeO4: calculated XRD peak list (copper Kα), based on the GGA-PBE geometry in Alexandria.
Neutral-atom scattering factors, no anomalous dispersion.

Cell and atoms:
```
Ca3GeO4
1.0
8.425 0.000 0.000
0.000 6.513 0.000
0.000 0.000 4.859
Ca Ge O
6 2 8
Direct
0.000 0.161 0.000
0.245 0.677 0.998
0.255 0.323 0.498
0.500 0.839 0.500
0.745 0.323 0.498
0.755 0.677 0.998
0.000 0.831 0.499
0.500 0.169 0.999
0.000 0.141 0.500
0.000 0.816 0.120
0.231 0.329 0.993
0.269 0.671 0.493
0.500 0.184 0.620
0.500 0.859 0.000
0.731 0.671 0.493
0.769 0.329 0.993
```

Peak list (10 most intense, 2θ = 15–90°, in order of rising 2θ)
2θ 25.18, rel. 100; 2θ 27.39, rel. 46; 2θ 31.28, rel. 95; 2θ 33.11, rel. 35; 2θ 37.00, rel. 68; 2θ 42.94, rel. 43; 2θ 45.28, rel. 31; 2θ 47.09, rel. 65; 2θ 57.95, rel. 29; 2θ 61.35, rel. 46

[4]
CaGe2O4: calculated XRD peak list (copper Kα), based on the GGA-PBE geometry in Alexandria.
Neutral-atom scattering factors, no anomalous dispersion.

Cell and atoms:
```
CaGe2O4
1.0
2.725 -4.002 0.000
2.725 4.002 0.000
0.000 0.000 8.395
Ca Ge O
2 4 8
Direct
0.000 0.000 0.250
0.000 0.000 0.750
0.320 0.672 0.000
0.328 0.680 0.500
0.672 0.320 0.500
0.680 0.328 0.000
0.000 0.500 0.156
0.000 0.500 0.844
0.038 0.271 0.500
0.271 0.038 0.000
0.500 0.000 0.344
0.500 0.000 0.656
0.729 0.962 0.000
0.962 0.729 0.500
```

Peak list (10 most intense, 2θ = 15–90°, in order of rising 2θ)
2θ 21.17, rel. 100; 2θ 29.08, rel. 99; 2θ 30.87, rel. 62; 2θ 32.87, rel. 42; 2θ 37.54, rel. 87; 2θ 43.10, rel. 37; 2θ 43.49, rel. 33; 2θ 45.72, rel. 63; 2θ 55.25, rel. 35; 2θ 58.46, rel. 46